Calculated XRD peak list of Li2AcCoO4 for Cu Kα (λ = 1.5418 Å), from a crystal structure in Alexandria, relaxed with PBE+U.
Kinematic intensities with the Lorentz-polarization factor, no thermal factor.

Structural model:
Cell lengths 5.1263, 5.1263, 5.1263 Å; angles 115.92, 115.92, 97.23 degrees
Positions (direct):
Li 0.2500 0.7500 0.5000
Li 0.7500 0.2500 0.5000
Ac 0.0000 0.0000 0.0000
Co 0.5000 0.5000 0.0000
O 0.1415 0.5488 0.0000
O 0.4512 0.4512 0.5926
O 0.5488 0.1415 0.0000
O 0.8585 0.8585 0.4074

Principal peaks in the range 15 to 90 degrees two-theta, by angle:
| Position (°2θ) | I/Imax |
| --- | --- |
| 20.94 | 67 |
| 23.12 | 100 |
| 26.30 | 29 |
| 32.93 | 30 |
| 35.30 | 78 |
| 39.35 | 38 |
| 42.62 | 45 |
| 47.26 | 22 |
| 53.25 | 19 |
| 60.35 | 34 |